Entry 1:
Starting from a structure optimized by DFT (PBE+U), the XRD peak list of Li2Mn3F8 was simulated for copper Kα.

Structural model:
Unit cell a=6.4417 b=6.4417 c=9.3391 alpha=90.00 beta=90.00 gamma=120.00
Atoms (fractional coordinates):
Li: 0.3333 0.6667 0.0000
Li: 0.3333 0.6667 0.3718
Li: 0.6667 0.3333 0.5000
Li: 0.6667 0.3333 0.8718
Mn: 0.1650 0.3299 0.7033
Mn: 0.1650 0.8350 0.7033
Mn: 0.3299 0.1650 0.2033
Mn: 0.6701 0.8350 0.7033
Mn: 0.8350 0.1650 0.2033
Mn: 0.8350 0.6701 0.2033
F: 0.0000 0.0000 0.3186
F: 0.0000 0.0000 0.8186
F: 0.0255 0.5128 0.8315
F: 0.1713 0.3427 0.0971
F: 0.1713 0.8287 0.0971
F: 0.3333 0.6667 0.5808
F: 0.3427 0.1713 0.5971
F: 0.4872 0.5128 0.8315
F: 0.4872 0.9745 0.8315
F: 0.5128 0.0255 0.3315
F: 0.5128 0.4872 0.3315
F: 0.6573 0.8287 0.0971
F: 0.6667 0.3333 0.0808
F: 0.8287 0.1713 0.5971
F: 0.8287 0.6573 0.5971
F: 0.9745 0.4872 0.3315

Peak list (10 most intense, 2θ from 10° to 80°, sorted by position)
4.789 Å, I = 44; 4.670 Å, I = 100; 2.673 Å, I = 49; 2.651 Å, I = 18; 2.395 Å, I = 66; 2.077 Å, I = 66; 1.790 Å, I = 18; 1.610 Å, I = 42; 1.552 Å, I = 33; 1.522 Å, I = 21

Entry 2:
Starting from a structure optimized by DFT (PBE+U), the XRD peak list of MgFe4Cu2O8 was simulated for copper Kα.

Structural model:
Unit cell a=5.9989 b=5.9989 c=6.3149 alpha=118.52 beta=118.52 gamma=59.98
Atoms (fractional coordinates):
Mg: 0.0000 0.0000 0.0000
Fe: 0.0000 0.5000 0.0000
Fe: 0.5000 0.0000 0.0000
Fe: 0.5000 0.5000 0.0000
Fe: 0.5000 0.5000 0.5000
Cu: 0.1532 0.1532 0.4615
Cu: 0.8468 0.8468 0.5385
O: 0.2456 0.2456 0.2256
O: 0.2457 0.7354 0.2260
O: 0.2646 0.7543 0.7740
O: 0.2715 0.2715 0.8152
O: 0.7285 0.7285 0.1848
O: 0.7354 0.2457 0.2260
O: 0.7543 0.2646 0.7740
O: 0.7544 0.7544 0.7744

Peak list (10 most intense, 2θ from 10° to 80°, sorted by position)
3.145 Å, I = 12; 2.999 Å, I = 42; 2.634 Å, I = 25; 2.607 Å, I = 100; 2.563 Å, I = 45; 2.171 Å, I = 47; 1.981 Å, I = 15; 1.705 Å, I = 18; 1.571 Å, I = 18; 1.500 Å, I = 44

What did the first record say?
Starting from a structure optimized by DFT (PBE+U), the XRD peak list of Li2Mn3F8 was simulated for copper Kα.

Structural model:
Unit cell a=6.4417 b=6.4417 c=9.3391 alpha=90.00 beta=90.00 gamma=120.00
Atoms (fractional coordinates):
Li: 0.3333 0.6667 0.0000
Li: 0.3333 0.6667 0.3718
Li: 0.6667 0.3333 0.5000
Li: 0.6667 0.3333 0.8718
Mn: 0.1650 0.3299 0.7033
Mn: 0.1650 0.8350 0.7033
Mn: 0.3299 0.1650 0.2033
Mn: 0.6701 0.8350 0.7033
Mn: 0.8350 0.1650 0.2033
Mn: 0.8350 0.6701 0.2033
F: 0.0000 0.0000 0.3186
F: 0.0000 0.0000 0.8186
F: 0.0255 0.5128 0.8315
F: 0.1713 0.3427 0.0971
F: 0.1713 0.8287 0.0971
F: 0.3333 0.6667 0.5808
F: 0.3427 0.1713 0.5971
F: 0.4872 0.5128 0.8315
F: 0.4872 0.9745 0.8315
F: 0.5128 0.0255 0.3315
F: 0.5128 0.4872 0.3315
F: 0.6573 0.8287 0.0971
F: 0.6667 0.3333 0.0808
F: 0.8287 0.1713 0.5971
F: 0.8287 0.6573 0.5971
F: 0.9745 0.4872 0.3315

Peak list (10 most intense, 2θ from 10° to 80°, sorted by position)
4.789 Å, I = 44; 4.670 Å, I = 100; 2.673 Å, I = 49; 2.651 Å, I = 18; 2.395 Å, I = 66; 2.077 Å, I = 66; 1.790 Å, I = 18; 1.610 Å, I = 42; 1.552 Å, I = 33; 1.522 Å, I = 21